Starting from a PBE-relaxed structure, the powder XRD pattern of TbPu4 was computed for λ = 1.5418 Å (Cu Kα).

Main lines, by angle (10 to 90 degrees two-theta):
2θ/deg, I (rel.), h k l
16.0, 11, 1 0 0
22.7, 10, 1 1 0
27.9, 98, 1 1 1
32.4, 100, 2 0 0
36.3, 6, 2 1 0
46.4, 75, 2 2 0
55.0, 47, 3 1 1
57.7, 27, 2 2 2
67.7, 12, 4 0 0
74.8, 20, 3 3 1
77.1, 35, 4 2 0
86.1, 27, 4 2 2

Crystal structure
```
data_TbPu4
_space_group_name_H-M_alt 'P m -3 m'
_space_group_IT_number 221
_space_group_name_Hall '-P 4 2 3'
_cell_length_a 5.5339
_cell_length_b 5.5339
_cell_length_c 5.5339
_cell_angle_alpha 90.00
_cell_angle_beta 90.00
_cell_angle_gamma 90.00
loop_
_atom_site_label
_atom_site_type_symbol
_atom_site_fract_x
_atom_site_fract_y
_atom_site_fract_z
_atom_site_occupancy
Tb1 Tb 0.0000 0.0000 0.0000 1
Pu1 Pu 0.0000 0.0000 0.5000 1
Pu2 Pu 0.5000 0.5000 0.5000 1
```

***

Starting from a PBE-relaxed structure, the powder XRD pattern of Tb8Pu was computed for λ = 1.5418 Å (Cu Kα).

Main lines, by angle (10 to 90 degrees two-theta):
2θ/deg, I (rel.), h k l
11.8, 2, 1 1 0
16.7, 1, 2 0 0
19.6, 1, 1 0 1
25.9, 1, 2 1 1
30.9, 100, 3 0 1
35.9, 51, 3 3 0
51.6, 36, 6 0 0
61.4, 43, 3 0 3
64.5, 12, 6 0 2
76.0, 6, 0 0 4
84.3, 18, 6 3 3
87.0, 17, 3 3 4

Crystal structure
```
data_Tb8Pu
_space_group_name_H-M_alt 'I 4/m m m'
_space_group_IT_number 139
_space_group_name_Hall '-I 4 2'
_cell_length_a 10.6220
_cell_length_b 10.6220
_cell_length_c 5.0070
_cell_angle_alpha 90.00
_cell_angle_beta 90.00
_cell_angle_gamma 90.00
loop_
_atom_site_label
_atom_site_type_symbol
_atom_site_fract_x
_atom_site_fract_y
_atom_site_fract_z
_atom_site_occupancy
Tb1 Tb 0.0000 0.3314 0.0000 1
Tb2 Tb 0.1647 0.1647 0.5000 1
Pu1 Pu 0.0000 0.0000 0.0000 1
```

***

Starting from a PBE-relaxed structure, the powder XRD pattern of Tb2Pu was computed for λ = 1.5418 Å (Cu Kα).

Main lines, by angle (10 to 90 degrees two-theta):
2θ/deg, I (rel.), h k l
11.9, 5, 0 0 2
31.3, 100, 1 0 3
36.2, 34, 1 1 0
36.3, 17, 0 0 6
52.2, 36, 2 0 0
62.1, 29, 2 1 3
62.2, 14, 1 0 9
65.2, 12, 2 0 6
85.3, 6, 3 0 3
85.4, 12, 2 1 9
88.1, 12, 3 1 0
88.3, 6, 1 1 12

Crystal structure
```
data_Tb2Pu
_space_group_name_H-M_alt 'I 4/m m m'
_space_group_IT_number 139
_space_group_name_Hall '-I 4 2'
_cell_length_a 3.5086
_cell_length_b 3.5086
_cell_length_c 14.8386
_cell_angle_alpha 90.00
_cell_angle_beta 90.00
_cell_angle_gamma 90.00
loop_
_atom_site_label
_atom_site_type_symbol
_atom_site_fract_x
_atom_site_fract_y
_atom_site_fract_z
_atom_site_occupancy
Tb1 Tb 0.0000 0.0000 0.1640 1
Pu1 Pu 0.0000 0.0000 0.5000 1
```

***

Starting from a PBE-relaxed structure, the powder XRD pattern of TbPuTc was computed for λ = 1.5418 Å (Cu Kα).

Main lines, by angle (10 to 90 degrees two-theta):
2θ/deg, I (rel.), h k l
22.0, 15, 1 0 0
24.9, 9, 0 0 1
33.5, 100, 1 0 1
38.7, 69, 1 1 0
46.5, 11, 1 1 1
51.1, 10, 0 0 2
52.0, 29, 2 0 1
65.8, 29, 1 1 2
66.7, 28, 2 1 1
69.9, 12, 3 0 0
82.9, 8, 2 2 0
84.8, 7, 1 0 3

Crystal structure
```
data_TbPuTc
_space_group_name_H-M_alt 'P -6 m 2'
_space_group_IT_number 187
_space_group_name_Hall 'P -6 2'
_cell_length_a 4.6590
_cell_length_b 4.6590
_cell_length_c 3.5776
_cell_angle_alpha 90.00
_cell_angle_beta 90.00
_cell_angle_gamma 120.00
loop_
_atom_site_label
_atom_site_type_symbol
_atom_site_fract_x
_atom_site_fract_y
_atom_site_fract_z
_atom_site_occupancy
Tb1 Tb 0.0000 0.0000 0.0000 1
Pu1 Pu 0.3333 0.6667 0.5000 1
Tc1 Tc 0.6667 0.3333 0.5000 1
```

***

Starting from a PBE-relaxed structure, the powder XRD pattern of TbPuTe6 was computed for λ = 1.5418 Å (Cu Kα).

Main lines, by angle (10 to 90 degrees two-theta):
2θ/deg, I (rel.), h k l
13.2, 24, 0 0 4
26.6, 39, 0 0 8
29.2, 27, 1 1 1
30.7, 100, 1 1 3
33.5, 46, 1 1 5
33.7, 18, 1 0 8
36.5, 18, 0 1 9
37.4, 49, 1 1 7
41.5, 56, 2 0 0
49.9, 28, 2 0 8
60.1, 19, 2 2 0
69.0, 19, 3 1 3

Crystal structure
```
data_TbPuTe6
_space_group_name_H-M_alt 'A m m 2'
_space_group_IT_number 38
_space_group_name_Hall 'A 2 -2'
_cell_length_a 4.3574
_cell_length_b 4.3563
_cell_length_c 26.8545
_cell_angle_alpha 90.00
_cell_angle_beta 90.00
_cell_angle_gamma 90.00
loop_
_atom_site_label
_atom_site_type_symbol
_atom_site_fract_x
_atom_site_fract_y
_atom_site_fract_z
_atom_site_occupancy
Tb1 Tb 0.0000 0.0000 0.0000 1
Pu1 Pu 0.5000 0.0000 0.3445 1
Te1 Te 0.0000 0.0000 0.2531 1
Te2 Te 0.0000 0.0000 0.5926 1
Te3 Te 0.0000 0.0000 0.8784 1
Te4 Te 0.5000 0.0000 0.0927 1
Te5 Te 0.5000 0.0000 0.4652 1
Te6 Te 0.5000 0.0000 0.7531 1
```

***

Starting from a PBE-relaxed structure, the powder XRD pattern of Tb2Pu2Te5 was computed for λ = 1.5418 Å (Cu Kα).

Main lines, by angle (10 to 90 degrees two-theta):
2θ/deg, I (rel.), h k l
22.8, 36, 3 1 1
26.6, 36, 2 2 1
29.5, 100, 3 1 2
30.4, 67, 0 2 2
32.4, 70, 5 1 1
33.3, 81, 4 2 1
34.3, 39, 6 0 0
34.5, 80, 1 1 3
34.7, 80, 1 3 1
45.0, 53, 5 1 3
45.1, 43, 5 3 1
63.1, 32, 7 3 3

Crystal structure
```
data_Tb2Pu2Te5
_space_group_name_H-M_alt 'C m c e'
_space_group_IT_number 64
_space_group_name_Hall '-C 2ac 2'
_cell_length_a 15.6807
_cell_length_b 8.2836
_cell_length_c 8.3342
_cell_angle_alpha 90.00
_cell_angle_beta 90.00
_cell_angle_gamma 90.00
loop_
_atom_site_label
_atom_site_type_symbol
_atom_site_fract_x
_atom_site_fract_y
_atom_site_fract_z
_atom_site_occupancy
Tb1 Tb 0.0000 0.1488 0.1506 1
Pu1 Pu 0.1961 0.0000 0.5000 1
Te1 Te 0.0000 0.0000 0.5000 1
Te2 Te 0.1371 0.1575 0.8459 1
```

***

Starting from a PBE-relaxed structure, the powder XRD pattern of Tb2Tm12Pu was computed for λ = 1.5418 Å (Cu Kα).

Main lines, by angle (10 to 90 degrees two-theta):
2θ/deg, I (rel.), h k l
30.9, 93, 0 1 7
31.8, 100, 1 1 -3
32.4, 77, 0 2 0
33.0, 42, 1 0 5
34.2, 43, 0 1 8
34.8, 50, 1 1 4
44.5, 18, 1 0 -10
46.9, 32, 1 2 5
52.5, 20, 2 0 -1
56.1, 19, 1 2 -10
57.4, 19, 1 3 -3
63.0, 23, 2 2 -1

Crystal structure
```
data_Tb2Tm12Pu
_space_group_name_H-M_alt 'P 1 2/m 1'
_space_group_IT_number 10
_space_group_name_Hall '-P 2y'
_cell_length_a 3.4862
_cell_length_b 5.5285
_cell_length_c 23.8555
_cell_angle_alpha 90.00
_cell_angle_beta 94.09
_cell_angle_gamma 90.00
loop_
_atom_site_label
_atom_site_type_symbol
_atom_site_fract_x
_atom_site_fract_y
_atom_site_fract_z
_atom_site_occupancy
Tb1 Tb 0.1411 0.0000 0.2803 1
Tm1 Tm 0.0297 0.5000 0.0665 1
Tm2 Tm 0.0627 0.0000 0.1353 1
Tm3 Tm 0.2236 0.5000 0.4448 1
Tm4 Tm 0.2864 0.0000 0.5761 1
Tm5 Tm 0.3331 0.5000 0.6702 1
Tm6 Tm 0.4087 0.5000 0.8073 1
Pu1 Pu 0.5000 0.0000 0.0000 1
```

***

Starting from a PBE-relaxed structure, the powder XRD pattern of Tb7Tm12Pu was computed for λ = 1.5418 Å (Cu Kα).

Main lines, by angle (10 to 90 degrees two-theta):
2θ/deg, I (rel.), h k l
27.7, 14, 1 0 2
28.7, 13, 1 1 -3
31.7, 100, 1 -3 0
32.2, 18, 3 0 -1
32.6, 49, 1 2 -3
33.1, 71, 1 1 2
33.6, 46, -2 1 3
36.2, 30, 2 -2 2
42.4, 10, 2 3 -1
51.1, 14, 4 1 -4
51.5, 11, 0 1 -5
60.4, 9, -1 2 5

Crystal structure
```
data_Tb7Tm12Pu
_space_group_name_H-M_alt 'P -1'
_space_group_IT_number 2
_space_group_name_Hall '-P 1'
_cell_length_a 8.5448
_cell_length_b 8.6783
_cell_length_c 9.4843
_cell_angle_alpha 101.65
_cell_angle_beta 110.19
_cell_angle_gamma 100.79
loop_
_atom_site_label
_atom_site_type_symbol
_atom_site_fract_x
_atom_site_fract_y
_atom_site_fract_z
_atom_site_occupancy
Tb1 Tb 0.0000 0.0000 0.0000 1
Tb2 Tb 0.2721 0.7481 0.9726 1
Tb3 Tb 0.3878 0.4528 0.7697 1
Tb4 Tb 0.4038 0.8105 0.3678 1
Tm1 Tm 0.0441 0.3292 0.8663 1
Tm2 Tm 0.1272 0.6894 0.5423 1
Tm3 Tm 0.1482 0.3907 0.2491 1
Tm4 Tm 0.1538 0.0718 0.4244 1
Tm5 Tm 0.2861 0.0633 0.8150 1
Tm6 Tm 0.4291 0.1520 0.2222 1
Pu1 Pu 0.5000 0.5000 0.5000 1
```

***

Starting from a PBE-relaxed structure, the powder XRD pattern of Tb2Tm3Pu was computed for λ = 1.5418 Å (Cu Kα).

Main lines, by angle (10 to 90 degrees two-theta):
2θ/deg, I (rel.), h k l
29.3, 39, 0 1 3
30.9, 30, 2 0 0
31.6, 45, 1 3 2
32.2, 100, 1 4 1
32.6, 86, 1 0 3
32.8, 72, 0 4 2
33.1, 38, 2 1 1
33.8, 24, 2 2 0
38.3, 38, 2 3 1
56.1, 26, 3 0 3
57.5, 37, 2 4 4
58.5, 29, 2 7 1

Crystal structure
```
data_Tb2Tm3Pu
_space_group_name_H-M_alt 'I m m a'
_space_group_IT_number 74
_space_group_name_Hall '-I 2b 2'
_cell_length_a 5.7787
_cell_length_b 13.4567
_cell_length_c 9.3839
_cell_angle_alpha 90.00
_cell_angle_beta 90.00
_cell_angle_gamma 90.00
loop_
_atom_site_label
_atom_site_type_symbol
_atom_site_fract_x
_atom_site_fract_y
_atom_site_fract_z
_atom_site_occupancy
Tb1 Tb 0.0000 0.1180 0.0287 1
Tm1 Tm 0.0000 0.0212 0.6669 1
Tm2 Tm 0.0000 0.2500 0.3655 1
Pu1 Pu 0.2500 0.2500 0.7500 1
```

***

Starting from a PBE-relaxed structure, the powder XRD pattern of Tb9Tm4Pu was computed for λ = 1.5418 Å (Cu Kα).

Main lines, by angle (10 to 90 degrees two-theta):
2θ/deg, I (rel.), h k l
22.7, 12, 2 0 1
32.4, 56, 0 0 4
32.6, 100, 2 1 2
33.1, 37, 3 0 1
37.2, 12, 2 2 0
46.3, 10, 3 1 3
52.9, 23, 3 0 5
57.2, 17, 3 3 0
57.6, 20, 5 0 2
58.0, 10, 2 1 6
67.3, 23, 3 3 4
85.5, 9, 6 2 2

Crystal structure
```
data_Tb9Tm4Pu
_space_group_name_H-M_alt 'P 63/m m c'
_space_group_IT_number 194
_space_group_name_Hall '-P 6c 2c'
_cell_length_a 9.6600
_cell_length_b 9.6600
_cell_length_c 11.0297
_cell_angle_alpha 90.00
_cell_angle_beta 90.00
_cell_angle_gamma 120.00
loop_
_atom_site_label
_atom_site_type_symbol
_atom_site_fract_x
_atom_site_fract_y
_atom_site_fract_z
_atom_site_occupancy
Tb1 Tb 0.0735 0.5367 0.2500 1
Tb2 Tb 0.2091 0.4182 0.5334 1
Tm1 Tm 0.0000 0.0000 0.0000 1
Tm2 Tm 0.1114 0.2229 0.2500 1
Pu1 Pu 0.3333 0.6667 0.7500 1
```

***

Starting from a PBE-relaxed structure, the powder XRD pattern of TbTm3Pu was computed for λ = 1.5418 Å (Cu Kα).

Main lines, by angle (10 to 90 degrees two-theta):
2θ/deg, I (rel.), h k l
30.6, 74, 2 2 0
31.7, 86, 1 3 -1
32.0, 100, 2 0 -3
32.4, 87, 1 1 2
33.1, 81, 3 1 -1
36.0, 76, 1 3 -2
36.7, 21, 2 2 1
48.7, 20, 4 2 -3
53.8, 22, 3 3 -4
55.1, 21, 4 0 1
60.7, 29, 3 3 2
64.4, 19, 5 3 -1

Crystal structure
```
data_TbTm3Pu
_space_group_name_H-M_alt 'C 1 2/m 1'
_space_group_IT_number 12
_space_group_name_Hall '-C 2y'
_cell_length_a 8.5857
_cell_length_b 9.1806
_cell_length_c 8.6150
_cell_angle_alpha 90.00
_cell_angle_beta 117.91
_cell_angle_gamma 90.00
loop_
_atom_site_label
_atom_site_type_symbol
_atom_site_fract_x
_atom_site_fract_y
_atom_site_fract_z
_atom_site_occupancy
Tb1 Tb 0.2106 0.0000 0.1200 1
Tm1 Tm 0.0682 0.1821 0.7140 1
Tm2 Tm 0.1667 0.5000 0.4326 1
Pu1 Pu 0.0000 0.3498 0.0000 1
```

***

Starting from a PBE-relaxed structure, the powder XRD pattern of Tb4Tm2Pu was computed for λ = 1.5418 Å (Cu Kα).

Main lines, by angle (10 to 90 degrees two-theta):
2θ/deg, I (rel.), h k l
31.2, 100, 1 2 2
31.3, 33, 0 2 -2
36.2, 23, 2 2 -1
36.3, 45, -1 2 1
52.1, 8, 3 0 -2
52.1, 16, 1 4 0
52.3, 24, 1 2 -5
62.0, 10, 3 2 -4
62.1, 28, 2 4 -3
62.2, 9, 1 -4 1
65.1, 8, 2 4 4
85.4, 10, 1 6 -2

Crystal structure
```
data_Tb4Tm2Pu
_space_group_name_H-M_alt 'P 1'
_space_group_IT_number 1
_space_group_name_Hall 'P 1'
_cell_length_a 6.0879
_cell_length_b 7.0111
_cell_length_c 10.4909
_cell_angle_alpha 89.91
_cell_angle_beta 84.57
_cell_angle_gamma 73.06
loop_
_atom_site_label
_atom_site_type_symbol
_atom_site_fract_x
_atom_site_fract_y
_atom_site_fract_z
_atom_site_occupancy
Tb1 Tb 0.0000 0.0000 0.0000 1
Tb2 Tb 0.0008 0.4967 0.9996 1
Tb3 Tb 0.1417 0.2153 0.7112 1
Tb4 Tb 0.4279 0.1461 0.1500 1
Tb5 Tb 0.4380 0.6341 0.1475 1
Tb6 Tb 0.7054 0.0773 0.5647 1
Tb7 Tb 0.7116 0.5657 0.5628 1
Tb8 Tb 0.8675 0.7781 0.2852 1
Tm1 Tm 0.1406 0.7121 0.7109 1
Tm2 Tm 0.2770 0.9325 0.4279 1
Tm3 Tm 0.5702 0.3560 0.8553 1
Tm4 Tm 0.5702 0.8557 0.8552 1
Pu1 Pu 0.2817 0.4261 0.4267 1
Pu2 Pu 0.8596 0.2851 0.2865 1
```

***

Starting from a PBE-relaxed structure, the powder XRD pattern of Tb6Tm3Pu was computed for λ = 1.5418 Å (Cu Kα).

Main lines, by angle (10 to 90 degrees two-theta):
2θ/deg, I (rel.), h k l
29.5, 34, 2 2 1
29.8, 44, 1 1 2
30.4, 38, 3 1 0
31.5, 100, 1 3 -1
33.0, 30, 2 0 -2
33.1, 23, 2 0 2
33.3, 18, 3 1 -1
42.2, 21, 3 3 -1
43.2, 18, 2 4 1
50.2, 15, 1 3 3
58.8, 17, 2 6 0
58.9, 13, 2 4 -3

Crystal structure
```
data_Tb6Tm3Pu
_space_group_name_H-M_alt 'C 1 2 1'
_space_group_IT_number 5
_space_group_name_Hall 'C 2y'
_cell_length_a 9.2208
_cell_length_b 10.0240
_cell_length_c 6.6931
_cell_angle_alpha 90.00
_cell_angle_beta 90.21
_cell_angle_gamma 90.00
loop_
_atom_site_label
_atom_site_type_symbol
_atom_site_fract_x
_atom_site_fract_y
_atom_site_fract_z
_atom_site_occupancy
Tb1 Tb 0.0000 0.0000 0.0000 1
Tb2 Tb 0.0000 0.1628 0.5000 1
Tb3 Tb 0.1568 0.5976 0.2448 1
Tb4 Tb 0.2006 0.7470 0.7989 1
Tm1 Tm 0.0000 0.3262 0.0000 1
Tm2 Tm 0.2024 0.4293 0.6677 1
Pu1 Pu 0.0000 0.8533 0.5000 1
```